(1)
Diffraction record for Ba8HgIr2. The X-ray diffraction stick pattern is simulated, not measured: it uses a DFT-relaxed cell (GGA-PBE, Alexandria) and copper Kα.
No peak broadening, texture or thermal motion is included.

Structural model:
abc: 10.2890 10.2890 6.5527
angles: 90.00 90.00 120.00
Space group P-3 (No. 147)
Symmetry-distinct sites (fractional):
Ba 0.1706 0.3425 0.2462 (multiplicity 6)
Ba 0.3333 0.6667 0.7493 (multiplicity 2)
Hg 0.0000 0.0000 0.5000 (multiplicity 1)
Ir 0.3333 0.6667 0.2658 (multiplicity 2)

Largest 6 diffraction maxima, low angle first, 2θ = 10–90°:
| two_theta | I/Imax | h k l |
| --- | --- | --- |
| 16.79 | 66 | 1 0 1 |
| 17.24 | 71 | 1 1 0 |
| 24.16 | 75 | 2 0 1 |
| 33.96 | 68 | 0 2 2 |
| 34.88 | 100 | 2 2 0 |
| 44.80 | 55 | 2 2 2 |


(2)
Diffraction record for Ba14Hg6Ir3. The X-ray diffraction stick pattern is simulated, not measured: it uses a DFT-relaxed cell (GGA-PBE, Alexandria) and copper Kα.
No peak broadening, texture or thermal motion is included.

Structural model:
abc: 8.0052 11.7036 12.0694
angles: 62.42 88.60 87.82
Space group P1 (No. 1)
Symmetry-distinct sites (fractional):
Ba 0.0000 0.0000 0.0000 (multiplicity 1)
Ba 0.0056 0.7851 0.7579 (multiplicity 1)
Ba 0.1105 0.3815 0.9694 (multiplicity 1)
Ba 0.2439 0.5334 0.2190 (multiplicity 1)
Ba 0.2580 0.5185 0.5974 (multiplicity 1)
Ba 0.2719 0.1746 0.5595 (multiplicity 1)
Ba 0.4854 0.8277 0.5471 (multiplicity 1)
Ba 0.4935 0.8253 0.8894 (multiplicity 1)
Ba 0.5136 0.0535 0.1219 (multiplicity 1)
Ba 0.6166 0.4511 0.9088 (multiplicity 1)
Ba 0.7033 0.6446 0.3249 (multiplicity 1)
Ba 0.7163 0.3043 0.2869 (multiplicity 1)
Ba 0.7307 0.2932 0.6629 (multiplicity 1)
Ba 0.9814 0.9879 0.3445 (multiplicity 1)
Hg 0.2723 0.7855 0.2918 (multiplicity 1)
Hg 0.3012 0.2159 0.2603 (multiplicity 1)
Hg 0.3393 0.1949 0.8318 (multiplicity 1)
Hg 0.7220 0.0413 0.5920 (multiplicity 1)
Hg 0.8356 0.6090 0.6185 (multiplicity 1)
Hg 0.8409 0.6203 0.0568 (multiplicity 1)
Ir 0.3314 0.6470 0.7951 (multiplicity 1)
Ir 0.4874 0.4101 0.4433 (multiplicity 1)
Ir 0.8363 0.1793 0.0949 (multiplicity 1)

Largest 6 diffraction maxima, low angle first, 2θ = 10–90°:
| two_theta | I/Imax | h k l |
| --- | --- | --- |
| 24.71 | 43 | 1 -1 2 |
| 27.48 | 44 | -2 2 1 |
| 27.77 | 85 | 2 2 0 |
| 28.25 | 42 | 1 3 3 |
| 29.00 | 100 | -1 3 3 |
| 29.67 | 45 | 0 2 4 |


(3)
Diffraction record for Ba4HgIr2. The X-ray diffraction stick pattern is simulated, not measured: it uses a DFT-relaxed cell (GGA-PBE, Alexandria) and copper Kα.
No peak broadening, texture or thermal motion is included.

Structural model:
abc: 9.1054 10.3018 14.4484
angles: 90.00 90.00 90.00
Space group I2_12_12_1 (No. 24)
Symmetry-distinct sites (fractional):
Ba 0.0000 0.0172 0.0099 (multiplicity 8)
Ba 0.2452 0.2492 0.7162 (multiplicity 8)
Hg 0.0012 0.5000 0.2500 (multiplicity 4)
Ir 0.0000 0.2500 0.5624 (multiplicity 4)
Ir 0.2500 0.2498 0.5000 (multiplicity 4)

Largest 6 diffraction maxima, low angle first, 2θ = 10–90°:
| two_theta | I/Imax | h k l |
| --- | --- | --- |
| 10.55 | 100 | 0 1 1 |
| 20.74 | 25 | 1 2 1 |
| 24.65 | 33 | 0 0 4 |
| 26.12 | 44 | 2 2 0 |
| 34.84 | 29 | 0 4 0 |
| 36.22 | 48 | 2 2 4 |


(4)
Diffraction record for Ba2Hg2IrO6. The X-ray diffraction stick pattern is simulated, not measured: it uses a DFT-relaxed cell (GGA-PBE, Alexandria) and copper Kα.
No peak broadening, texture or thermal motion is included.

Structural model:
abc: 6.3058 11.4800 6.0930
angles: 90.00 98.26 90.00
Space group C2/m (No. 12)
Symmetry-distinct sites (fractional):
Ba 0.0000 0.1592 0.0000 (multiplicity 4)
Hg 0.0000 0.3691 0.5000 (multiplicity 4)
Ir 0.0000 0.5000 0.0000 (multiplicity 2)
O 0.1409 0.3723 0.1927 (multiplicity 8)
O 0.2347 0.5000 0.8030 (multiplicity 4)

Largest 6 diffraction maxima, low angle first, 2θ = 10–90°:
| two_theta | I/Imax | h k l |
| --- | --- | --- |
| 16.17 | 95 | 1 1 0 |
| 28.61 | 65 | 2 0 0 |
| 29.63 | 55 | 0 0 2 |
| 30.15 | 81 | 1 3 -1 |
| 32.16 | 100 | 1 3 1 |
| 50.29 | 42 | 3 3 -1 |


(5)
Diffraction record for Ba6HgIrPt2. The X-ray diffraction stick pattern is simulated, not measured: it uses a DFT-relaxed cell (GGA-PBE, Alexandria) and copper Kα.
No peak broadening, texture or thermal motion is included.

Structural model:
abc: 8.0545 8.0609 8.8019
angles: 90.03 117.21 119.97
Space group P1 (No. 1)
Symmetry-distinct sites (fractional):
Ba 0.0000 0.0000 0.0000 (multiplicity 1)
Ba 0.0028 0.7899 0.4732 (multiplicity 1)
Ba 0.3253 0.4496 0.4726 (multiplicity 1)
Ba 0.4064 0.6429 0.9998 (multiplicity 1)
Ba 0.6430 0.2363 0.0000 (multiplicity 1)
Ba 0.6652 0.1124 0.4727 (multiplicity 1)
Hg 0.8659 0.5511 0.7754 (multiplicity 1)
Ir 0.8549 0.0456 0.2580 (multiplicity 1)
Pt 0.4909 0.8636 0.7119 (multiplicity 1)
Pt 0.5146 0.3757 0.2473 (multiplicity 1)

Largest 6 diffraction maxima, low angle first, 2θ = 10–90°:
| two_theta | I/Imax | h k l |
| --- | --- | --- |
| 14.95 | 37 | 1 0 0 |
| 20.32 | 25 | 0 1 1 |
| 25.11 | 67 | 2 -1 0 |
| 32.68 | 100 | 1 1 1 |
| 38.70 | 54 | 3 0 -2 |
| 51.53 | 25 | 4 -2 0 |


(6)
Diffraction record for KBaHg10. The X-ray diffraction stick pattern is simulated, not measured: it uses a DFT-relaxed cell (GGA-PBE, Alexandria) and copper Kα.
No peak broadening, texture or thermal motion is included.

Structural model:
abc: 5.4243 6.1751 10.8323
angles: 90.00 90.00 90.00
Space group Pmmm (No. 47)
Symmetry-distinct sites (fractional):
K 0.0000 0.0000 0.0000 (multiplicity 1)
Ba 0.0000 0.5000 0.5000 (multiplicity 1)
Hg 0.0000 0.0000 0.3299 (multiplicity 2)
Hg 0.0000 0.5000 0.1634 (multiplicity 2)
Hg 0.5000 0.0000 0.5000 (multiplicity 1)
Hg 0.5000 0.2550 0.2576 (multiplicity 4)
Hg 0.5000 0.5000 0.0000 (multiplicity 1)

Largest 6 diffraction maxima, low angle first, 2θ = 10–90°:
| two_theta | I/Imax | h k l |
| --- | --- | --- |
| 16.52 | 53 | 0 1 1 |
| 33.04 | 75 | 2 0 0 |
| 33.15 | 100 | 1 1 3 |
| 33.40 | 73 | 1 2 0 |
| 37.11 | 62 | 1 0 4 |
| 37.40 | 78 | 1 2 2 |


(7)
Diffraction record for K2BaHg4. The X-ray diffraction stick pattern is simulated, not measured: it uses a DFT-relaxed cell (GGA-PBE, Alexandria) and copper Kα.
No peak broadening, texture or thermal motion is included.

Structural model:
abc: 21.0884 6.7060 7.1646
angles: 90.00 99.20 90.00
Space group C2/c (No. 15)
Symmetry-distinct sites (fractional):
K 0.1964 0.0822 0.1675 (multiplicity 8)
Ba 0.0000 0.2426 0.2500 (multiplicity 4)
Hg 0.0731 0.2358 0.7914 (multiplicity 8)
Hg 0.1514 0.4279 0.5089 (multiplicity 8)

Largest 6 diffraction maxima, low angle first, 2θ = 10–90°:
| two_theta | I/Imax | h k l |
| --- | --- | --- |
| 18.40 | 59 | 3 1 0 |
| 27.95 | 78 | 2 2 0 |
| 28.17 | 68 | 4 0 -2 |
| 29.74 | 100 | 5 1 1 |
| 32.99 | 59 | 3 1 2 |
| 36.96 | 90 | 0 2 2 |


(8)
Diffraction record for KBaHg. The X-ray diffraction stick pattern is simulated, not measured: it uses a DFT-relaxed cell (GGA-PBE, Alexandria) and copper Kα.
No peak broadening, texture or thermal motion is included.

Structural model:
abc: 4.5591 24.5018 5.3035
angles: 90.00 90.00 90.00
Space group Cmcm (No. 63)
Symmetry-distinct sites (fractional):
K 0.0000 0.1918 0.2500 (multiplicity 4)
Ba 0.0000 0.4291 0.2500 (multiplicity 4)
Hg 0.0000 0.0422 0.2500 (multiplicity 4)

Largest 6 diffraction maxima, low angle first, 2θ = 10–90°:
| two_theta | I/Imax | h k l |
| --- | --- | --- |
| 26.03 | 42 | 1 1 1 |
| 28.03 | 100 | 1 3 1 |
| 31.67 | 95 | 1 5 1 |
| 33.80 | 56 | 0 0 2 |
| 36.53 | 41 | 1 7 1 |
| 52.97 | 31 | 2 0 2 |


(9)
Diffraction record for KBa5Hg6. The X-ray diffraction stick pattern is simulated, not measured: it uses a DFT-relaxed cell (GGA-PBE, Alexandria) and copper Kα.
No peak broadening, texture or thermal motion is included.

Structural model:
abc: 5.9476 8.3692 9.4083
angles: 90.00 108.25 90.00
Space group P2/m (No. 10)
Symmetry-distinct sites (fractional):
K 0.0000 0.0000 0.0000 (multiplicity 1)
Ba 0.0000 0.5000 0.0000 (multiplicity 1)
Ba 0.3326 0.5000 0.6656 (multiplicity 2)
Ba 0.3367 0.0000 0.6735 (multiplicity 2)
Hg 0.1701 0.2522 0.3402 (multiplicity 4)
Hg 0.5000 0.2591 0.0000 (multiplicity 2)

Largest 6 diffraction maxima, low angle first, 2θ = 10–90°:
| two_theta | I/Imax | h k l |
| --- | --- | --- |
| 30.06 | 100 | 2 0 -1 |
| 30.14 | 50 | 1 2 -2 |
| 53.35 | 30 | 3 2 0 |
| 53.48 | 20 | 3 2 -3 |
| 53.55 | 10 | 2 4 -1 |
| 86.59 | 10 | 5 2 -1 |


(10)
Diffraction record for K2BaHg6. The X-ray diffraction stick pattern is simulated, not measured: it uses a DFT-relaxed cell (GGA-PBE, Alexandria) and copper Kα.
No peak broadening, texture or thermal motion is included.

Structural model:
abc: 9.1793 9.1793 4.1305
angles: 90.00 90.00 120.00
Space group P6/mmm (No. 191)
Symmetry-distinct sites (fractional):
K 0.3333 0.6667 0.0000 (multiplicity 2)
Ba 0.0000 0.0000 0.0000 (multiplicity 1)
Hg 0.0000 0.3351 0.5000 (multiplicity 6)

Largest 6 diffraction maxima, low angle first, 2θ = 10–90°:
| two_theta | I/Imax | h k l |
| --- | --- | --- |
| 21.51 | 49 | 0 0 1 |
| 29.08 | 98 | 1 1 1 |
| 33.83 | 100 | 3 0 0 |
| 40.44 | 61 | 3 0 1 |
| 45.20 | 29 | 2 2 1 |
| 56.49 | 47 | 3 0 2 |


(11)
Diffraction record for KBaHg4. The X-ray diffraction stick pattern is simulated, not measured: it uses a DFT-relaxed cell (GGA-PBE, Alexandria) and copper Kα.
No peak broadening, texture or thermal motion is included.

Structural model:
abc: 4.1232 5.2989 9.1383
angles: 90.00 90.00 90.00
Space group Pmmm (No. 47)
Symmetry-distinct sites (fractional):
K 0.0000 0.0000 0.0000 (multiplicity 1)
Ba 0.0000 0.5000 0.5000 (multiplicity 1)
Hg 0.5000 0.0000 0.3315 (multiplicity 2)
Hg 0.5000 0.5000 0.1644 (multiplicity 2)

Largest 6 diffraction maxima, low angle first, 2θ = 10–90°:
| two_theta | I/Imax | h k l |
| --- | --- | --- |
| 21.55 | 41 | 1 0 0 |
| 29.14 | 100 | 1 1 1 |
| 33.83 | 33 | 0 2 0 |
| 33.95 | 65 | 0 1 3 |
| 40.53 | 51 | 1 2 0 |
| 56.61 | 45 | 2 2 0 |


(12)
Diffraction record for K2BaHgO. The X-ray diffraction stick pattern is simulated, not measured: it uses a DFT-relaxed cell (GGA-PBE, Alexandria) and copper Kα.
No peak broadening, texture or thermal motion is included.

Structural model:
abc: 5.5872 5.5872 5.2815
angles: 90.00 90.00 90.00
Space group P4/mmm (No. 123)
Symmetry-distinct sites (fractional):
K 0.0000 0.5000 0.0000 (multiplicity 2)
Ba 0.0000 0.0000 0.5000 (multiplicity 1)
Hg 0.5000 0.5000 0.5000 (multiplicity 1)
O 0.0000 0.0000 0.0000 (multiplicity 1)

Largest 6 diffraction maxima, low angle first, 2θ = 10–90°:
| two_theta | I/Imax | h k l |
| --- | --- | --- |
| 16.79 | 27 | 0 0 1 |
| 22.50 | 38 | 1 1 0 |
| 28.21 | 100 | 1 1 1 |
| 32.04 | 42 | 2 0 0 |
| 47.37 | 28 | 2 0 2 |
| 54.79 | 31 | 3 1 1 |